1.
Calculated powder X-ray diffraction pattern
Compound: Nd2MgPd4
Radiation: Cu Kα
Structure: a cell relaxed with PBE

Atomic structure:
Cell: 5.944 7.541 14.803 Å, 90.00 90.00 90.00°
Space group Fmmm (No. 69)
Symmetry-distinct sites (fractional):
Nd 0.000 0.000 0.137 x8
Mg 0.000 0.000 0.500 x4
Pd 0.000 0.000 0.329 x8
Pd 0.250 0.250 0.000 x8

Most intense lines, 10 to 90 degrees two-theta, sorted by position:
| Position (°2θ) | intensity | index |
| --- | --- | --- |
| 23.59 | 32 | 0 2 0 |
| 26.53 | 61 | 0 2 2 |
| 32.46 | 36 | 2 0 2 |
| 33.94 | 78 | 0 2 4 |
| 35.92 | 31 | 1 1 5 |
| 36.42 | 36 | 0 0 6 |
| 38.57 | 100 | 2 2 0 |
| 38.86 | 54 | 2 0 4 |
| 48.27 | 26 | 0 4 0 |
| 54.09 | 46 | 2 2 6 |

=====

2.
Calculated powder X-ray diffraction pattern
Compound: BaTb2Hg6
Radiation: Cu Kα
Structure: a cell relaxed with PBE

Atomic structure:
Cell: 15.600 8.595 3.821 Å, 90.00 104.06 90.00°
Space group C2/m (No. 12)
Symmetry-distinct sites (fractional):
Ba 0.000 0.000 0.000 x2
Tb 0.145 0.500 0.143 x4
Hg 0.000 0.333 0.500 x4
Hg 0.176 0.180 0.676 x8

Most intense lines, 10 to 90 degrees two-theta, sorted by position:
| Position (°2θ) | intensity | index |
| --- | --- | --- |
| 28.15 | 53 | 3 1 -1 |
| 31.89 | 29 | 0 2 1 |
| 31.90 | 28 | 2 2 -1 |
| 34.97 | 39 | 3 1 1 |
| 35.60 | 43 | 6 0 0 |
| 36.06 | 100 | 3 3 0 |
| 37.92 | 27 | 4 0 1 |
| 41.15 | 23 | 1 3 1 |
| 47.60 | 23 | 2 0 -2 |
| 61.13 | 41 | 5 3 -2 |

=====

3.
Calculated powder X-ray diffraction pattern
Compound: Nd3Sm7Dy
Radiation: Cu Kα
Structure: a cell relaxed with PBE

Atomic structure:
Cell: 11.782 10.216 6.484 Å, 90.00 94.83 90.00°
Space group C2/m (No. 12)
Symmetry-distinct sites (fractional):
Nd 0.000 0.000 0.000 x2
Nd 0.000 0.173 0.500 x4
Sm 0.000 0.500 0.500 x2
Sm 0.240 0.000 0.713 x4
Sm 0.243 0.329 0.761 x8
Dy 0.000 0.500 0.000 x2

Most intense lines, 10 to 90 degrees two-theta, sorted by position:
| Position (°2θ) | intensity | index |
| --- | --- | --- |
| 30.42 | 93 | 2 0 -2 |
| 30.46 | 81 | 4 0 0 |
| 30.93 | 100 | 1 3 1 |
| 32.75 | 70 | 2 0 2 |
| 36.94 | 64 | 3 3 -1 |
| 50.18 | 48 | 5 3 1 |
| 57.03 | 25 | 6 0 2 |
| 62.28 | 25 | 7 3 -1 |
| 63.12 | 39 | 4 6 0 |
| 63.36 | 18 | 8 0 0 |

=====

4.
Calculated powder X-ray diffraction pattern
Compound: MgAs2Cl
Radiation: Cu Kα
Structure: a cell relaxed with PBE

Atomic structure:
Cell: 4.139 3.598 7.921 Å, 90.00 96.19 90.00°
Space group Pm (No. 6)
Symmetry-distinct sites (fractional):
Mg 0.000 0.000 0.000 x1
As 0.295 0.500 0.762 x1
As 0.656 0.000 0.688 x1
Cl 0.957 0.500 0.194 x1

Most intense lines, 10 to 90 degrees two-theta, sorted by position:
| Position (°2θ) | intensity | index |
| --- | --- | --- |
| 11.24 | 100 | 0 0 1 |
| 22.58 | 36 | 0 0 2 |
| 23.28 | 8 | 1 0 -1 |
| 25.48 | 24 | 1 0 1 |
| 33.09 | 29 | 1 1 0 |
| 34.22 | 40 | 1 1 -1 |
| 35.82 | 12 | 1 1 1 |
| 39.00 | 22 | 1 1 -2 |
| 42.64 | 12 | 0 1 3 |
| 53.68 | 8 | 2 1 1 |

=====

5.
Calculated powder X-ray diffraction pattern
Compound: Gd3Ni19B10
Radiation: Cu Kα
Structure: a cell relaxed with PBE

Atomic structure:
Cell: 13.174 8.772 5.797 Å, 90.00 91.32 90.00°
Space group C2/m (No. 12)
Symmetry-distinct sites (fractional):
Gd 0.000 0.000 0.000 x2
Gd 0.125 0.500 0.389 x4
Ni 0.000 0.000 0.500 x2
Ni 0.029 0.258 0.699 x8
Ni 0.122 0.500 0.877 x4
Ni 0.128 0.250 0.074 x8
Ni 0.163 0.000 0.700 x4
Ni 0.183 0.000 0.270 x4
Ni 0.218 0.263 0.699 x8
B 0.000 0.382 0.000 x4
B 0.118 0.181 0.431 x8
B 0.245 0.102 0.974 x8

Most intense lines, 10 to 90 degrees two-theta, sorted by position:
| Position (°2θ) | intensity | index |
| --- | --- | --- |
| 35.59 | 45 | 5 1 0 |
| 37.23 | 37 | 4 2 -1 |
| 37.79 | 35 | 4 2 1 |
| 38.22 | 55 | 3 1 -2 |
| 39.97 | 84 | 2 2 2 |
| 41.16 | 100 | 0 4 0 |
| 46.18 | 32 | 4 2 -2 |
| 46.40 | 32 | 5 3 0 |
| 47.05 | 39 | 0 0 3 |
| 48.55 | 29 | 3 3 -2 |

=====

6.
Calculated powder X-ray diffraction pattern
Compound: Ce3Nd3YSe8
Radiation: Cu Kα
Structure: a cell relaxed with PBE

Atomic structure:
Cell: 8.4053 8.4053 20.6123 Å, 90.00 90.00 120.00°
Space group R-3m (No. 166, hexagonal axes)
Symmetry-distinct sites (fractional):
Ce 0.0000 0.5000 0.0000 x9
Nd 0.0000 0.5000 0.5000 x9
Y 0.0000 0.0000 0.0000 x3
Se 0.0000 0.0000 0.2505 x6
Se 0.0041 0.5021 0.7484 x18

Most intense lines, 10 to 90 degrees two-theta, sorted by position:
| Position (°2θ) | intensity | index |
| --- | --- | --- |
| 14.90 | 8 | 0 1 2 |
| 21.13 | 7 | 1 1 0 |
| 25.96 | 7 | 0 0 6 |
| 30.06 | 100 | 0 2 4 |
| 33.71 | 4 | 1 2 2 |
| 43.03 | 74 | 2 2 0 |
| 53.38 | 26 | 4 0 4 |
| 62.48 | 12 | 0 4 8 |
| 70.88 | 33 | 2 4 4 |
| 78.87 | 25 | 6 0 0 |

=====

7.
Calculated powder X-ray diffraction pattern
Compound: SrGaPtO4
Radiation: Cu Kα
Structure: a cell relaxed with PBE

Atomic structure:
Cell: 6.335 9.436 7.063 Å, 90.00 90.00 90.00°
Space group Cmcm (No. 63)
Symmetry-distinct sites (fractional):
Sr 0.000 0.000 0.000 x4
Ga 0.000 0.378 0.250 x4
Pt 0.000 0.309 0.750 x4
O 0.000 0.271 0.027 x8
O 0.221 0.488 0.750 x8

Most intense lines, 10 to 90 degrees two-theta, sorted by position:
| Position (°2θ) | intensity | index |
| --- | --- | --- |
| 21.06 | 79 | 1 1 1 |
| 25.22 | 28 | 0 0 2 |
| 28.17 | 85 | 2 0 0 |
| 30.49 | 100 | 1 1 2 |
| 31.65 | 26 | 0 2 2 |
| 31.76 | 98 | 1 3 0 |
| 34.27 | 29 | 1 3 1 |
| 42.88 | 47 | 2 2 2 |
| 52.17 | 29 | 3 3 0 |
| 62.03 | 28 | 1 3 4 |